1.
Starting from a DFT-relaxed cell (GGA-PBE, the Materials Project), the XRD peak list of Mg14CoMo was calculated for Cu Kα, 1.54184 Å.
No peak broadening, texture or thermal motion is included.

Cell: 9.867 6.261 6.261 Å, 59.37 90.00 90.00°
Element x y z (fractional)
Mg 0.000 0.000 0.000
Mg 0.000 0.004 0.501
Mg 0.000 0.499 0.499
Mg 0.000 0.501 0.004
Mg 0.254 0.661 0.661
Mg 0.263 0.159 0.159
Mg 0.269 0.172 0.672
Mg 0.269 0.672 0.172
Mg 0.500 0.505 0.997
Mg 0.500 0.997 0.505
Mg 0.731 0.172 0.672
Mg 0.731 0.672 0.172
Mg 0.737 0.159 0.159
Mg 0.746 0.661 0.661
Co 0.500 0.006 0.006
Mo 0.500 0.507 0.507

Largest 6 diffraction maxima, in order of falling intensity, 5° ≤ 2θ ≤ 70°:
2θ (°)	d_spacing	Rel. int.
38.06	2.364	100
8.96	9.867	63
37.77	2.382	56
36.42	2.467	37
33.26	2.694	31
18.63	4.763	20


2.
Starting from a DFT-relaxed cell (GGA-PBE, the Materials Project), the XRD peak list of MgCoMoS4 was calculated for Cu Kα, 1.54184 Å.
No peak broadening, texture or thermal motion is included.

Cell: 7.203 7.203 7.203 Å, 120.15 119.37 90.42°
Element x y z (fractional)
Mg 0.378 0.128 0.250
Mg 0.622 0.872 0.750
Co 0.000 0.000 0.500
Co 0.000 0.500 0.000
Mo 0.000 0.500 0.500
Mo 0.500 0.500 0.000
S 0.202 0.744 0.458
S 0.214 0.256 0.958
S 0.228 0.245 0.516
S 0.228 0.712 0.984
S 0.772 0.288 0.016
S 0.772 0.755 0.484
S 0.786 0.744 0.042
S 0.798 0.256 0.542

Largest 6 diffraction maxima, in order of falling intensity, 5° ≤ 2θ ≤ 70°:
2θ (°)	d_spacing	Rel. int.
35.11	2.556	100
15.10	5.866	100
50.70	1.801	88
29.13	3.066	73
14.99	5.911	67
28.89	3.090	64